1.
Starting from a GGA-PBE-relaxed structure, the powder XRD pattern of Na2Be2P2H was computed for CuKα.
No peak broadening, texture or thermal motion is included.

Structural model:
```
Na2Be2P2H
1.0
4.9865 -1.8656 0.0000
4.9865 1.8656 0.0000
-3.9842 0.0000 5.6467
Na Be P H
2 2 2 1
direct
0.0609 0.0609 0.3237
0.9391 0.9391 0.6763
0.3184 0.3184 0.9265
0.6816 0.6816 0.0735
0.3083 0.3083 0.2403
0.6917 0.6917 0.7597
0.5000 0.5000 0.0000
```

The 10 most intense peaks (2θ from 10° to 80°), in order of rising 2θ:
- d = 4.910 Å, 18.07°, rel. 31
- d = 3.276 Å, 27.22°, rel. 33
- d = 2.823 Å, 31.69°, rel. 43
- d = 2.642 Å, 33.94°, rel. 100
- d = 2.411 Å, 37.30°, rel. 40
- d = 2.341 Å, 38.45°, rel. 70
- d = 2.281 Å, 39.50°, rel. 25
- d = 2.196 Å, 41.10°, rel. 44
- d = 1.866 Å, 48.81°, rel. 27
- d = 1.500 Å, 61.84°, rel. 23

=====

2.
Starting from a GGA-PBE-relaxed structure, the powder XRD pattern of NpBe3H12 was computed for CuKα.
No peak broadening, texture or thermal motion is included.

Structural model:
```
NpBe3H12
1.0
7.3394 0.0000 0.0000
-3.6697 6.3561 0.0000
0.0000 0.0000 5.4484
Np Be H
2 6 24
direct
0.3333 0.6667 0.2500
0.6667 0.3333 0.7500
0.1190 0.5595 0.7500
0.4405 0.5595 0.7500
0.4405 0.8810 0.7500
0.5595 0.1190 0.2500
0.5595 0.4405 0.2500
0.8810 0.4405 0.2500
0.0599 0.3871 0.2500
0.0599 0.6729 0.2500
0.2401 0.4801 0.5664
0.2401 0.4801 0.9336
0.2401 0.7599 0.5664
0.2401 0.7599 0.9336
0.3271 0.3871 0.2500
0.3271 0.9401 0.2500
0.3871 0.0599 0.7500
0.3871 0.3271 0.7500
0.4801 0.2401 0.0664
0.4801 0.2401 0.4336
0.5199 0.7599 0.5664
0.5199 0.7599 0.9336
0.6129 0.6729 0.2500
0.6129 0.9401 0.2500
0.6729 0.0599 0.7500
0.6729 0.6129 0.7500
0.7599 0.2401 0.0664
0.7599 0.2401 0.4336
0.7599 0.5199 0.0664
0.7599 0.5199 0.4336
0.9401 0.3271 0.7500
0.9401 0.6129 0.7500
```

The 10 most intense peaks (2θ from 10° to 80°), in order of rising 2θ:
- d = 6.356 Å, 13.93°, rel. 63
- d = 4.137 Å, 21.48°, rel. 100
- d = 3.670 Å, 24.25°, rel. 55
- d = 2.745 Å, 32.62°, rel. 38
- d = 2.198 Å, 41.06°, rel. 47
- d = 2.187 Å, 41.27°, rel. 28
- d = 2.119 Å, 42.68°, rel. 12
- d = 1.677 Å, 54.73°, rel. 20
- d = 1.672 Å, 54.90°, rel. 12
- d = 1.449 Å, 64.30°, rel. 13